# Rb2VSbI6
Theoretical X-ray powder pattern, λ = 1.5418 Å (Cu Kα). Input: a cell relaxed with PBE.

Atomic structure:
```
data_Rb2VSbI6
_chemical_formula_sum 'Rb2 V1 Sb1 I6'
_cell_length_a 8.462
_cell_length_b 8.462
_cell_length_c 8.462
_cell_angle_alpha 120.06
_cell_angle_beta 120.06
_cell_angle_gamma 89.90
_space_group_name_H-M_alt 'P 1'
_space_group_IT_number 1
loop_
_space_group_symop_operation_xyz
'x,y,z'
loop_
_atom_site_label
_atom_site_fract_x
_atom_site_fract_y
_atom_site_fract_z
Rb1 0.250 0.750 0.500
Rb2 0.750 0.250 0.500
V1 0.000 0.000 0.000
Sb1 0.500 0.500 0.000
I1 0.240 0.240 0.000
I2 0.241 0.241 0.481
I3 0.241 0.759 0.000
I4 0.759 0.241 0.000
I5 0.759 0.759 0.519
I6 0.760 0.760 0.000
```

Top 10 peaks for 10 to 90 degrees two-theta, in order of falling intensity:
- 2θ 29.9, d = 2.991 Å, I = 1000
- 2θ 25.8, d = 3.454 Å, I = 918
- 2θ 42.8, d = 2.115 Å, I = 728
- 2θ 50.6, d = 1.804 Å, I = 408
- 2θ 14.8, d = 5.982 Å, I = 294
- 2θ 53.0, d = 1.727 Å, I = 251
- 2θ 78.3, d = 1.221 Å, I = 230
- 2θ 70.4, d = 1.338 Å, I = 208
- 2θ 68.4, d = 1.372 Å, I = 160
- 2θ 33.5, d = 2.675 Å, I = 146


# Pm2SiGePd6
Theoretical X-ray powder pattern, λ = 1.5418 Å (Cu Kα). Input: a cell relaxed with PBE.

Atomic structure:
```
data_Pm2SiGePd6
_chemical_formula_sum 'Pm4 Si2 Ge2 Pd12'
_cell_length_a 5.566
_cell_length_b 8.697
_cell_length_c 8.163
_cell_angle_alpha 90.00
_cell_angle_beta 90.00
_cell_angle_gamma 90.00
_space_group_name_H-M_alt 'P 1'
_space_group_IT_number 1
loop_
_space_group_symop_operation_xyz
'x,y,z'
loop_
_atom_site_label
_atom_site_fract_x
_atom_site_fract_y
_atom_site_fract_z
Pm1 0.250 0.003 0.234
Pm2 0.250 0.497 0.234
Pm3 0.750 0.503 0.766
Pm4 0.750 0.997 0.766
Si1 0.250 0.250 0.747
Si2 0.750 0.750 0.253
Ge1 0.250 0.750 0.766
Ge2 0.750 0.250 0.234
Pd1 0.000 0.250 0.500
Pd2 0.000 0.750 0.500
Pd3 0.002 0.250 0.985
Pd4 0.250 0.001 0.615
Pd5 0.250 0.499 0.615
Pd6 0.498 0.250 0.985
Pd7 0.500 0.250 0.500
Pd8 0.500 0.750 0.500
Pd9 0.502 0.750 0.015
Pd10 0.750 0.501 0.385
Pd11 0.750 0.999 0.385
Pd12 0.998 0.750 0.015
```

Top 10 peaks for 10 to 90 degrees two-theta, in order of falling intensity:
- 2θ 38.4, d = 2.344 Å, I = 1000
- 2θ 30.0, d = 2.976 Å, I = 951
- 2θ 39.2, d = 2.299 Å, I = 841
- 2θ 42.4, d = 2.131 Å, I = 669
- 2θ 41.5, d = 2.174 Å, I = 632
- 2θ 58.4, d = 1.580 Å, I = 514
- 2θ 28.2, d = 3.160 Å, I = 413
- 2θ 34.2, d = 2.624 Å, I = 329
- 2θ 10.8, d = 8.163 Å, I = 246
- 2θ 27.1, d = 3.291 Å, I = 245


# BaY2IrO8
Theoretical X-ray powder pattern, λ = 1.5418 Å (Cu Kα). Input: a cell relaxed with PBE.

Atomic structure:
```
data_BaY2IrO8
_chemical_formula_sum 'Ba1 Y2 Ir1 O8'
_cell_length_a 4.362
_cell_length_b 5.225
_cell_length_c 7.199
_cell_angle_alpha 89.06
_cell_angle_beta 73.32
_cell_angle_gamma 87.82
_space_group_name_H-M_alt 'P 1'
_space_group_IT_number 1
loop_
_space_group_symop_operation_xyz
'x,y,z'
loop_
_atom_site_label
_atom_site_fract_x
_atom_site_fract_y
_atom_site_fract_z
Ba1 0.000 0.000 0.000
Y1 0.388 0.518 0.291
Y2 0.612 0.482 0.709
Ir1 0.000 0.000 0.500
O1 0.167 0.305 0.595
O2 0.216 0.771 0.628
O3 0.256 0.496 0.007
O4 0.355 0.974 0.261
O5 0.645 0.026 0.739
O6 0.744 0.504 0.993
O7 0.784 0.229 0.372
O8 0.833 0.695 0.405
```

Top 10 peaks for 10 to 90 degrees two-theta, in order of falling intensity:
- 2θ 26.9, d = 3.318 Å, I = 1000
- 2θ 28.5, d = 3.137 Å, I = 893
- 2θ 27.8, d = 3.207 Å, I = 743
- 2θ 34.4, d = 2.611 Å, I = 642
- 2θ 31.2, d = 2.870 Å, I = 556
- 2θ 31.0, d = 2.885 Å, I = 525
- 2θ 44.4, d = 2.038 Å, I = 426
- 2θ 12.8, d = 6.896 Å, I = 412
- 2θ 38.3, d = 2.349 Å, I = 403
- 2θ 45.9, d = 1.976 Å, I = 319


# Tb2MnSi3Ni12
Theoretical X-ray powder pattern, λ = 1.5418 Å (Cu Kα). Input: a cell relaxed with PBE.

Atomic structure:
```
data_Tb2MnSi3Ni12
_chemical_formula_sum 'Tb2 Mn1 Si3 Ni12'
_cell_length_a 8.938
_cell_length_b 8.938
_cell_length_c 8.938
_cell_angle_alpha 39.51
_cell_angle_beta 39.51
_cell_angle_gamma 39.51
_space_group_name_H-M_alt 'P 1'
_space_group_IT_number 1
loop_
_space_group_symop_operation_xyz
'x,y,z'
loop_
_atom_site_label
_atom_site_fract_x
_atom_site_fract_y
_atom_site_fract_z
Tb1 0.150 0.150 0.150
Tb2 0.850 0.850 0.850
Mn1 0.500 0.500 0.500
Si1 0.000 0.500 0.500
Si2 0.500 0.000 0.500
Si3 0.500 0.500 0.000
Ni1 0.090 0.090 0.687
Ni2 0.090 0.687 0.090
Ni3 0.143 0.571 0.571
Ni4 0.313 0.910 0.910
Ni5 0.429 0.429 0.857
Ni6 0.429 0.857 0.429
Ni7 0.571 0.143 0.571
Ni8 0.571 0.571 0.143
Ni9 0.687 0.090 0.090
Ni10 0.857 0.429 0.429
Ni11 0.910 0.313 0.910
Ni12 0.910 0.910 0.313
```

Top 10 peaks for 10 to 90 degrees two-theta, in order of falling intensity:
- 2θ 31.6, d = 2.836 Å, I = 1000
- 2θ 37.3, d = 2.409 Å, I = 919
- 2θ 36.9, d = 2.435 Å, I = 556
- 2θ 40.4, d = 2.233 Å, I = 397
- 2θ 30.6, d = 2.924 Å, I = 381
- 2θ 61.4, d = 1.510 Å, I = 378
- 2θ 45.5, d = 1.995 Å, I = 359
- 2θ 46.5, d = 1.953 Å, I = 353
- 2θ 53.7, d = 1.706 Å, I = 341
- 2θ 43.9, d = 2.063 Å, I = 332


# Sm2DyHo4Er
Theoretical X-ray powder pattern, λ = 1.5418 Å (Cu Kα). Input: a cell relaxed with PBE.

Atomic structure:
```
data_Sm2DyHo4Er
_chemical_formula_sum 'Sm4 Dy2 Ho8 Er2'
_cell_length_a 9.478
_cell_length_b 9.478
_cell_length_c 9.478
_cell_angle_alpha 138.09
_cell_angle_beta 103.43
_cell_angle_gamma 91.35
_space_group_name_H-M_alt 'P 1'
_space_group_IT_number 1
loop_
_space_group_symop_operation_xyz
'x,y,z'
loop_
_atom_site_label
_atom_site_fract_x
_atom_site_fract_y
_atom_site_fract_z
Sm1 0.000 0.000 0.000
Sm2 0.500 0.000 0.000
Sm3 0.500 0.000 0.500
Sm4 0.500 0.500 0.500
Dy1 0.000 0.500 0.500
Dy2 0.500 0.500 0.000
Ho1 0.246 0.749 0.497
Ho2 0.247 0.248 0.501
Ho3 0.247 0.746 0.999
Ho4 0.248 0.251 0.997
Ho5 0.752 0.749 0.003
Ho6 0.753 0.254 0.001
Ho7 0.753 0.752 0.499
Ho8 0.754 0.251 0.503
Er1 0.000 0.000 0.500
Er2 0.000 0.500 0.000
```

Top 10 peaks for 10 to 90 degrees two-theta, in order of falling intensity:
- 2θ 30.4, d = 2.936 Å, I = 1000
- 2θ 41.1, d = 2.197 Å, I = 889
- 2θ 26.9, d = 3.311 Å, I = 456
- 2θ 61.5, d = 1.509 Å, I = 272
- 2θ 64.6, d = 1.442 Å, I = 233
- 2θ 54.1, d = 1.695 Å, I = 200
- 2θ 70.1, d = 1.342 Å, I = 184
- 2θ 63.4, d = 1.468 Å, I = 124
- 2θ 81.2, d = 1.184 Å, I = 123
- 2θ 88.0, d = 1.110 Å, I = 104


# LaTa2NO5
Theoretical X-ray powder pattern, λ = 1.5418 Å (Cu Kα). Input: a cell relaxed with PBE.

Atomic structure:
```
data_LaTa2NO5
_chemical_formula_sum 'La4 Ta8 N4 O20'
_cell_length_a 7.718
_cell_length_b 5.526
_cell_length_c 11.305
_cell_angle_alpha 90.00
_cell_angle_beta 90.08
_cell_angle_gamma 90.00
_space_group_name_H-M_alt 'P 1'
_space_group_IT_number 1
loop_
_space_group_symop_operation_xyz
'x,y,z'
loop_
_atom_site_label
_atom_site_fract_x
_atom_site_fract_y
_atom_site_fract_z
La1 0.000 0.204 0.000
La2 0.000 0.796 0.500
La3 0.513 0.293 0.077
La4 0.513 0.707 0.577
Ta1 0.258 0.288 0.391
Ta2 0.258 0.712 0.891
Ta3 0.261 0.221 0.677
Ta4 0.261 0.779 0.177
Ta5 0.748 0.287 0.384
Ta6 0.748 0.713 0.884
Ta7 0.756 0.208 0.680
Ta8 0.756 0.792 0.180
N1 0.504 0.298 0.679
N2 0.504 0.702 0.179
N3 0.704 0.123 0.242
N4 0.704 0.877 0.742
O1 0.008 0.101 0.652
O2 0.008 0.206 0.391
O3 0.008 0.794 0.891
O4 0.008 0.899 0.152
O5 0.197 0.384 0.824
O6 0.197 0.616 0.324
O7 0.219 0.482 0.557
O8 0.219 0.518 0.057
O9 0.291 0.025 0.509
O10 0.291 0.975 0.009
O11 0.307 0.119 0.247
O12 0.307 0.881 0.747
O13 0.503 0.402 0.411
O14 0.503 0.598 0.911
O15 0.721 0.026 0.506
O16 0.721 0.974 0.006
O17 0.793 0.483 0.559
O18 0.793 0.517 0.059
O19 0.816 0.380 0.825
O20 0.816 0.620 0.325
```

Top 10 peaks for 10 to 90 degrees two-theta, in order of falling intensity:
- 2θ 29.3, d = 3.047 Å, I = 1000
- 2θ 28.7, d = 3.113 Å, I = 894
- 2θ 32.4, d = 2.762 Å, I = 363
- 2θ 56.1, d = 1.640 Å, I = 287
- 2θ 23.0, d = 3.859 Å, I = 259
- 2θ 52.0, d = 1.759 Å, I = 254
- 2θ 57.8, d = 1.594 Å, I = 236
- 2θ 28.0, d = 3.187 Å, I = 220
- 2θ 47.1, d = 1.929 Å, I = 195
- 2θ 37.1, d = 2.423 Å, I = 184


# Co3Cu4
Theoretical X-ray powder pattern, λ = 1.5418 Å (Cu Kα). Input: a cell relaxed with PBE.

Atomic structure:
```
data_Co3Cu4
_chemical_formula_sum 'Co3 Cu4'
_cell_length_a 9.832
_cell_length_b 9.832
_cell_length_c 9.832
_cell_angle_alpha 162.98
_cell_angle_beta 162.98
_cell_angle_gamma 24.16
_space_group_name_H-M_alt 'P 1'
_space_group_IT_number 1
loop_
_space_group_symop_operation_xyz
'x,y,z'
loop_
_atom_site_label
_atom_site_fract_x
_atom_site_fract_y
_atom_site_fract_z
Co1 0.000 0.000 0.000
Co2 0.435 0.435 0.000
Co3 0.565 0.565 0.000
Cu1 0.140 0.140 0.000
Cu2 0.287 0.287 0.000
Cu3 0.713 0.713 0.000
Cu4 0.860 0.860 0.000
```

Top 9 peaks for 10 to 90 degrees two-theta, in order of falling intensity:
- 2θ 45.4, d = 1.997 Å, I = 1000
- 2θ 44.0, d = 2.057 Å, I = 564
- 2θ 81.9, d = 1.176 Å, I = 308
- 2θ 64.0, d = 1.455 Å, I = 169
- 2θ 84.9, d = 1.142 Å, I = 130
- 2θ 68.3, d = 1.373 Å, I = 62
- 2θ 38.8, d = 2.320 Å, I = 19
- 2θ 75.2, d = 1.264 Å, I = 9
- 2θ 57.5, d = 1.602 Å, I = 6


# Tl2SnCl7
Theoretical X-ray powder pattern, λ = 1.5418 Å (Cu Kα). Input: a cell relaxed with PBE.

Atomic structure:
```
data_Tl2SnCl7
_chemical_formula_sum 'Tl4 Sn2 Cl14'
_cell_length_a 7.967
_cell_length_b 7.967
_cell_length_c 10.838
_cell_angle_alpha 100.35
_cell_angle_beta 100.35
_cell_angle_gamma 84.06
_space_group_name_H-M_alt 'P 1'
_space_group_IT_number 1
loop_
_space_group_symop_operation_xyz
'x,y,z'
loop_
_atom_site_label
_atom_site_fract_x
_atom_site_fract_y
_atom_site_fract_z
Tl1 0.012 0.291 0.168
Tl2 0.291 0.012 0.668
Tl3 0.709 0.988 0.332
Tl4 0.988 0.709 0.832
Sn1 0.210 0.790 0.250
Sn2 0.790 0.210 0.750
Cl1 0.047 0.638 0.361
Cl2 0.073 0.138 0.888
Cl3 0.138 0.073 0.388
Cl4 0.256 0.533 0.095
Cl5 0.302 0.698 0.750
Cl6 0.362 0.953 0.139
Cl7 0.467 0.744 0.405
Cl8 0.533 0.256 0.595
Cl9 0.638 0.047 0.861
Cl10 0.698 0.302 0.250
Cl11 0.744 0.467 0.905
Cl12 0.862 0.927 0.612
Cl13 0.927 0.862 0.112
Cl14 0.953 0.362 0.639
```

Top 10 peaks for 10 to 90 degrees two-theta, in order of falling intensity:
- 2θ 11.3, d = 7.816 Å, I = 1000
- 2θ 32.4, d = 2.765 Å, I = 650
- 2θ 31.3, d = 2.854 Å, I = 602
- 2θ 16.9, d = 5.258 Å, I = 592
- 2θ 18.7, d = 4.755 Å, I = 567
- 2θ 24.2, d = 3.675 Å, I = 564
- 2θ 21.9, d = 4.064 Å, I = 451
- 2θ 22.9, d = 3.877 Å, I = 448
- 2θ 46.4, d = 1.956 Å, I = 306
- 2θ 38.4, d = 2.347 Å, I = 300


# Mn3S4
Theoretical X-ray powder pattern, λ = 1.5418 Å (Cu Kα). Input: a cell relaxed with PBE.

Atomic structure:
```
data_Mn3S4
_chemical_formula_sum 'Mn6 S8'
_cell_length_a 6.955
_cell_length_b 6.955
_cell_length_c 6.955
_cell_angle_alpha 60.00
_cell_angle_beta 60.00
_cell_angle_gamma 60.00
_space_group_name_H-M_alt 'P 1'
_space_group_IT_number 1
loop_
_space_group_symop_operation_xyz
'x,y,z'
loop_
_atom_site_label
_atom_site_fract_x
_atom_site_fract_y
_atom_site_fract_z
Mn1 0.000 0.000 0.000
Mn2 0.000 0.000 0.500
Mn3 0.000 0.500 0.000
Mn4 0.375 0.375 0.375
Mn5 0.500 0.000 0.000
Mn6 0.625 0.625 0.625
S1 0.216 0.761 0.761
S2 0.239 0.239 0.239
S3 0.239 0.239 0.784
S4 0.239 0.784 0.239
S5 0.761 0.216 0.761
S6 0.761 0.761 0.216
S7 0.761 0.761 0.761
S8 0.784 0.239 0.239
```

Top 10 peaks for 10 to 90 degrees two-theta, in order of falling intensity:
- 2θ 30.1, d = 2.966 Å, I = 1000
- 2θ 52.6, d = 1.739 Å, I = 928
- 2θ 36.5, d = 2.459 Å, I = 581
- 2θ 48.1, d = 1.893 Å, I = 518
- 2θ 25.6, d = 3.478 Å, I = 322
- 2θ 15.6, d = 5.679 Å, I = 205
- 2θ 74.0, d = 1.281 Å, I = 162
- 2θ 89.0, d = 1.100 Å, I = 129
- 2θ 77.7, d = 1.229 Å, I = 127
- 2θ 85.5, d = 1.136 Å, I = 121